Starting from the GGA+U geometry in Alexandria, the X-ray diffraction stick pattern of CrGaF5 was computed for Cu Kα, 1.54184 Å.
Lines closer than 0.1° are merged.

Largest 10 diffraction maxima, low angle first, 2θ = 10–90°:
(hkl), 2θ/deg, I/Imax
0 0 2, 22.88, 93
1 1 0, 27.25, 100
0 2 0, 27.85, 62
1 1 2, 35.87, 16
0 0 4, 46.75, 29
2 0 0, 47.78, 27
1 3 0, 48.90, 31
2 0 2, 53.61, 16
1 1 4, 54.96, 25
1 3 4, 69.97, 18

Structure:
a b c (Å): 3.807 6.406 7.772
angles (deg): 90.00 90.00 90.00
Space group Immm (No. 71)
Symmetry-distinct sites (fractional):
Cr1 0.000 0.000 0.000 (multiplicity 2)
Ga1 0.000 0.000 0.500 (multiplicity 2)
F1 0.000 0.000 0.255 (multiplicity 4)
F2 0.000 0.299 0.500 (multiplicity 4)
F3 0.000 0.500 0.000 (multiplicity 2)